Theoretical powder X-ray diffraction pattern of NiPdRh for Cu Kα (λ = 1.5418 Å), from a cell relaxed with GGA-PBE.
Neutral-atom scattering factors, no anomalous dispersion.

a b c (Å): 2.7129 3.7408 8.0975
angles (deg): 90.00 90.00 90.00
Space group Pmm2 (No. 25)
Inequivalent atoms, fractional coordinates:
Ni 0.0000 0.0000 0.0000 (multiplicity 1)
Ni 0.5000 0.5000 0.1527 (multiplicity 1)
Pd 0.0000 0.0000 0.3135 (multiplicity 1)
Pd 0.5000 0.5000 0.4974 (multiplicity 1)
Rh 0.0000 0.0000 0.6795 (multiplicity 1)
Rh 0.5000 0.5000 0.8446 (multiplicity 1)

Main lines, sorted by position (2θ = 10–80°):
2θ/deg	d/Å	Rel. int.	hkl
32.6	2.748	11	0 1 2
41.1	2.196	100	1 1 0
41.2	2.189	94	0 1 3
47.5	1.913	62	1 0 3
48.7	1.870	30	0 2 0
70.4	1.338	37	1 2 3

---

Theoretical powder X-ray diffraction pattern of NiPdRh for Cu Kα (λ = 1.5418 Å), from a cell relaxed with GGA-PBE.
Neutral-atom scattering factors, no anomalous dispersion.

a b c (Å): 10.0060 2.7257 6.2894
angles (deg): 90.00 105.53 90.00
Space group Cm (No. 8)
Inequivalent atoms, fractional coordinates:
Ni 0.0000 0.0000 0.0000 (multiplicity 2)
Ni 0.2091 0.5000 0.9424 (multiplicity 2)
Pd 0.0485 0.0000 0.6079 (multiplicity 2)
Pd 0.3275 0.0000 0.6827 (multiplicity 2)
Rh 0.1597 0.5000 0.3154 (multiplicity 2)
Rh 0.3784 0.0000 0.2503 (multiplicity 2)

Main lines, sorted by position (2θ = 10–80°):
2θ/deg	d/Å	Rel. int.	hkl
38.4	2.346	28	1 1 1
39.1	2.302	21	2 0 2
41.1	2.194	54	4 0 -2
43.5	2.079	74	3 1 0
44.0	2.059	100	1 1 -2
44.9	2.020	26	0 0 3

---

Theoretical powder X-ray diffraction pattern of NiPdRh for Cu Kα (λ = 1.5418 Å), from a cell relaxed with GGA-PBE.
Neutral-atom scattering factors, no anomalous dispersion.

a b c (Å): 4.6335 2.7126 6.5514
angles (deg): 90.00 91.02 90.00
Space group Pm (No. 6)
Inequivalent atoms, fractional coordinates:
Ni 0.0000 0.0000 0.0000 (multiplicity 1)
Ni 0.3391 0.0000 0.6689 (multiplicity 1)
Pd 0.1666 0.5000 0.3326 (multiplicity 1)
Pd 0.8398 0.5000 0.6736 (multiplicity 1)
Rh 0.4917 0.5000 0.9926 (multiplicity 1)
Rh 0.6648 0.0000 0.3256 (multiplicity 1)

Main lines, sorted by position (2θ = 10–80°):
2θ/deg	d/Å	Rel. int.	hkl
41.1	2.197	100	2 0 -1
41.4	2.183	32	0 0 3
47.5	1.913	43	1 1 -2
48.5	1.876	20	2 0 2
70.1	1.342	13	3 1 0
70.5	1.336	12	1 1 4

---

Theoretical powder X-ray diffraction pattern of Ni4Pd3Rh for Cu Kα (λ = 1.5418 Å), from a cell relaxed with GGA-PBE.
Neutral-atom scattering factors, no anomalous dispersion.

a b c (Å): 5.0520 8.7639 4.9870
angles (deg): 90.00 90.00 90.00
Space group Imm2 (No. 44)
Inequivalent atoms, fractional coordinates:
Ni 0.0000 0.2378 0.0000 (multiplicity 4)
Ni 0.2456 0.0000 0.2293 (multiplicity 4)
Pd 0.0000 0.2548 0.4985 (multiplicity 4)
Pd 0.0000 0.5000 0.1861 (multiplicity 2)
Rh 0.0000 0.0000 0.7660 (multiplicity 2)

Main lines, sorted by position (2θ = 10–80°):
2θ/deg	d/Å	Rel. int.	hkl
35.5	2.526	32	2 0 0
41.2	2.190	69	0 4 0
41.4	2.182	51	2 1 1
41.7	2.167	100	0 2 2
51.2	1.784	29	2 3 1
55.9	1.645	30	2 2 2

---

Theoretical powder X-ray diffraction pattern of Ni2Pd8Rh for Cu Kα (λ = 1.5418 Å), from a cell relaxed with GGA-PBE.
Neutral-atom scattering factors, no anomalous dispersion.

a b c (Å): 7.9636 10.4815 4.0322
angles (deg): 90.00 90.00 90.00
Space group Cmmm (No. 65)
Inequivalent atoms, fractional coordinates:
Ni 0.0000 0.1122 0.0000 (multiplicity 4)
Pd 0.0000 0.2455 0.5000 (multiplicity 4)
Pd 0.1663 0.0000 0.5000 (multiplicity 4)
Pd 0.1755 0.3665 0.0000 (multiplicity 8)
Rh 0.0000 0.5000 0.5000 (multiplicity 2)

Main lines, sorted by position (2θ = 10–80°):
2θ/deg	d/Å	Rel. int.	hkl
31.6	2.833	21	2 0 1
41.1	2.197	100	0 4 1
41.6	2.169	80	3 1 1
42.8	2.114	43	3 3 0
45.0	2.016	40	0 0 2
63.8	1.459	25	3 3 2

---

Theoretical powder X-ray diffraction pattern of Ti5NiPd2Rh2 for Cu Kα (λ = 1.5418 Å), from a cell relaxed with GGA-PBE.
Neutral-atom scattering factors, no anomalous dispersion.

a b c (Å): 10.5301 10.5301 2.9212
angles (deg): 90.00 90.00 90.00
Space group P4/mbm (No. 127)
Inequivalent atoms, fractional coordinates:
Ti 0.0000 0.5000 0.0000 (multiplicity 2)
Ti 0.1246 0.1575 0.0000 (multiplicity 8)
Ni 0.0000 0.0000 0.5000 (multiplicity 2)
Pd 0.1550 0.6550 0.5000 (multiplicity 4)
Rh 0.1438 0.3562 0.5000 (multiplicity 4)

Main lines, sorted by position (2θ = 10–80°):
2θ/deg	d/Å	Rel. int.	hkl
34.1	2.633	32	4 0 0
38.2	2.355	19	4 2 0
41.1	2.196	100	3 1 1
48.1	1.891	25	3 3 1
48.9	1.861	20	4 4 0
76.2	1.250	27	7 3 1

---

Theoretical powder X-ray diffraction pattern of NiPdS2 for Cu Kα (λ = 1.5418 Å), from a cell relaxed with GGA-PBE.
Neutral-atom scattering factors, no anomalous dispersion.

a b c (Å): 4.9777 11.0045 5.1537
angles (deg): 90.00 90.60 90.00
Space group C2/c (No. 15)
Inequivalent atoms, fractional coordinates:
Ni 0.0000 0.0344 0.2500 (multiplicity 4)
Pd 0.0000 0.2615 0.7500 (multiplicity 4)
S 0.2415 0.3904 0.0416 (multiplicity 8)

Main lines, sorted by position (2θ = 10–80°):
2θ/deg	d/Å	Rel. int.	hkl
19.6	4.535	31	1 1 0
26.0	3.421	100	1 1 -1
30.3	2.953	22	1 3 0
35.1	2.555	100	1 3 1
48.4	1.881	38	0 4 2
49.4	1.846	38	2 4 0